1.
Computed powder diffractogram
Compound: PmEr2Tl3
Radiation: Cu Kα
Structure: a PBE-relaxed structure
Lines closer than 0.1° are merged.

Atomic structure:
Cell: 3.7623 3.7623 11.6665 Å, 90.00 90.00 90.00°
Sites, in units of the cell vectors:
1 Pm 0.0000 0.0000 0.0000
2 Er 0.0000 0.0000 0.3380
3 Er 0.0000 0.0000 0.6620
4 Tl 0.5000 0.5000 0.1770
5 Tl 0.5000 0.5000 0.5000
6 Tl 0.5000 0.5000 0.8230

Peak list (6 most intense, 10 to 80 degrees two-theta, in order of rising 2θ)
33.13°, intensity 100
33.69°, intensity 49
48.39°, intensity 18
58.82°, intensity 19
59.90°, intensity 37
69.53°, intensity 11

***

2.
Computed powder diffractogram
Compound: K3Zr3PdS8
Radiation: Cu Kα
Structure: a PBE-relaxed structure
Lines closer than 0.1° are merged.

Atomic structure:
Cell: 7.2608 7.6744 8.5234 Å, 65.30 64.82 61.82°
Sites, in units of the cell vectors:
1 K 0.0000 0.0000 0.0000
2 K 0.0000 0.5000 0.0000
3 K 0.5000 0.0000 0.0000
4 Zr 0.0000 0.5000 0.5000
5 Zr 0.5000 0.0000 0.5000
6 Zr 0.5000 0.5000 0.5000
7 Pd 0.0000 0.0000 0.5000
8 S 0.2138 0.2170 0.3207
9 S 0.2515 0.7829 0.6793
10 S 0.2690 0.2629 0.6990
11 S 0.2840 0.6588 0.2730
12 S 0.7160 0.3412 0.7270
13 S 0.7310 0.7371 0.3010
14 S 0.7485 0.2171 0.3207
15 S 0.7862 0.7830 0.6793

Peak list (6 most intense, 10 to 80 degrees two-theta, in order of rising 2θ)
11.92°, intensity 100
31.24°, intensity 42
32.13°, intensity 77
39.76°, intensity 18
43.30°, intensity 28
47.47°, intensity 23

***

3.
Computed powder diffractogram
Compound: LaNi4Pb
Radiation: Cu Kα
Structure: a PBE-relaxed structure
Lines closer than 0.1° are merged.

Atomic structure:
Cell: 5.1537 5.1537 5.1537 Å, 60.00 60.00 60.00°
Sites, in units of the cell vectors:
1 La 0.0000 0.0000 0.0000
2 Ni 0.1277 0.6241 0.6241
3 Ni 0.6241 0.1277 0.6241
4 Ni 0.6241 0.6241 0.1277
5 Ni 0.6241 0.6241 0.6241
6 Pb 0.2500 0.2500 0.2500

Peak list (6 most intense, 10 to 80 degrees two-theta, in order of rising 2θ)
21.11°, intensity 18
34.82°, intensity 65
41.07°, intensity 100
62.42°, intensity 25
66.68°, intensity 31
73.50°, intensity 22

***

4.
Computed powder diffractogram
Compound: SiF4
Radiation: Cu Kα
Structure: a PBE-relaxed structure
Lines closer than 0.1° are merged.

Atomic structure:
Cell: 4.7712 4.7712 4.7712 Å, 109.47 109.47 109.47°
Sites, in units of the cell vectors:
1 Si 0.0000 0.0000 0.0000
2 F 0.0000 0.0000 0.3316
3 F 0.0000 0.3316 0.0000
4 F 0.3316 0.0000 0.0000
5 F 0.6684 0.6684 0.6684

Peak list (6 most intense, 10 to 80 degrees two-theta, in order of rising 2θ)
22.83°, intensity 100
40.09°, intensity 49
46.63°, intensity 12
63.14°, intensity 17
72.84°, intensity 17
77.48°, intensity 5

***

5.
Computed powder diffractogram
Compound: AcSnAu10
Radiation: Cu Kα
Structure: a PBE-relaxed structure
Lines closer than 0.1° are merged.

Atomic structure:
Cell: 4.7348 5.6610 9.7393 Å, 90.00 90.00 90.00°
Sites, in units of the cell vectors:
1 Ac 0.0000 0.0000 0.0000
2 Sn 0.0000 0.5000 0.5000
3 Au 0.0000 0.0000 0.3427
4 Au 0.0000 0.0000 0.6573
5 Au 0.0000 0.5000 0.1828
6 Au 0.0000 0.5000 0.8172
7 Au 0.5000 0.0000 0.5000
8 Au 0.5000 0.2437 0.2434
9 Au 0.5000 0.2437 0.7566
10 Au 0.5000 0.5000 0.0000
11 Au 0.5000 0.7563 0.2434
12 Au 0.5000 0.7563 0.7566

Peak list (6 most intense, 10 to 80 degrees two-theta, in order of rising 2θ)
18.16°, intensity 37
36.73°, intensity 28
36.98°, intensity 68
37.15°, intensity 100
38.01°, intensity 56
41.54°, intensity 51